No. 1
This entry pairs a crystal structure of AcSm12Y6 with its simulated PXRD pattern. Radiation: copper Kα. Structure: a structure optimized by DFT (PBE).

Cell and atoms:
```
data_AcSm12Y6
_chemical_formula_sum 'Ac3 Sm36 Y18'
_symmetry_space_group_name_H-M 'R -3 m'
_symmetry_Int_Tables_number 166
_symmetry_space_group_name_Hall '-R 3 2"'
_cell_length_a 13.5094
_cell_length_b 13.5094
_cell_length_c 12.6942
_cell_angle_alpha 90.00
_cell_angle_beta 90.00
_cell_angle_gamma 120.00
loop_
_atom_site_label
_atom_site_type_symbol
_atom_site_fract_x
_atom_site_fract_y
_atom_site_fract_z
_atom_site_occupancy
Ac1 Ac 0.0000 0.0000 0.0000 1
Sm1 Sm 0.0000 0.2573 0.5000 1
Sm2 Sm 0.0921 0.1842 0.2624 1
Y1 Y 0.0348 0.5174 0.6220 1
```

Peak list (10 most intense, 10 to 80 degrees two-theta, in order of falling intensity)
hkl 4 0 1, d = 2.850 Å, 2θ = 31.39°, rel. 100
hkl 3 1 2, d = 2.889 Å, 2θ = 30.95°, rel. 79
hkl 1 0 4, d = 3.063 Å, 2θ = 29.16°, rel. 65
hkl 0 3 3, d = 2.868 Å, 2θ = 31.19°, rel. 60
hkl 0 4 2, d = 2.656 Å, 2θ = 33.74°, rel. 57
hkl 1 3 1, d = 3.144 Å, 2θ = 28.39°, rel. 36
hkl 4 3 4, d = 1.645 Å, 2θ = 55.90°, rel. 35
hkl 4 4 0, d = 1.689 Å, 2θ = 54.33°, rel. 33
hkl 2 2 3, d = 2.640 Å, 2θ = 33.96°, rel. 33
hkl 0 2 1, d = 5.313 Å, 2θ = 16.69°, rel. 33

No. 2
This entry pairs a crystal structure of Ce5YSb5 with its simulated PXRD pattern. Radiation: copper Kα. Structure: a structure optimized by DFT (PBE).

Cell and atoms:
```
data_Ce5YSb5
_chemical_formula_sum 'Ce10 Y2 Sb10'
_symmetry_space_group_name_H-M 'C 1 2/m 1'
_symmetry_Int_Tables_number 12
_cell_length_a 14.055
_cell_length_b 6.304
_cell_length_c 8.898
_cell_angle_alpha 90.00
_cell_angle_beta 108.65
_cell_angle_gamma 90.00
loop_
_symmetry_equiv_pos_as_xyz
'x,y,z'
'-x,-y,-z'
'-x,y,-z'
'x,-y,z'
'x+1/2,y+1/2,z'
'-x+1/2,-y+1/2,-z'
'-x+1/2,y+1/2,-z'
'x+1/2,-y+1/2,z'
loop_
_atom_site_label
_atom_site_type_symbol
_atom_site_fract_x
_atom_site_fract_y
_atom_site_fract_z
_atom_site_occupancy
Ce1 Ce 0.000 0.000 0.000 1
Ce2 Ce 0.165 0.500 0.331 1
Ce3 Ce 0.169 0.500 0.833 1
Y1 Y 0.000 0.000 0.500 1
Sb1 Sb 0.000 0.500 0.500 1
Sb2 Sb 0.165 0.000 0.831 1
Sb3 Sb 0.167 0.000 0.336 1
```

Peak list (10 most intense, 10 to 80 degrees two-theta, in order of falling intensity)
hkl 0 2 0, d = 3.150 Å, 2θ = 28.33°, rel. 100
hkl 2 2 2, d = 2.225 Å, 2θ = 40.54°, rel. 95
hkl 2 0 2, d = 3.137 Å, 2θ = 28.45°, rel. 49
hkl 6 2 0, d = 1.816 Å, 2θ = 50.24°, rel. 40
hkl 2 4 2, d = 1.408 Å, 2θ = 66.37°, rel. 30
hkl 6 4 0, d = 1.285 Å, 2θ = 73.70°, rel. 19
hkl 6 0 0, d = 2.219 Å, 2θ = 40.65°, rel. 19
hkl 8 0 2, d = 1.404 Å, 2θ = 66.63°, rel. 13
hkl 0 4 0, d = 1.575 Å, 2θ = 58.62°, rel. 13
hkl 0 2 6, d = 1.283 Å, 2θ = 73.83°, rel. 13

No. 3
This entry pairs a crystal structure of CuAg5I8 with its simulated PXRD pattern. Radiation: copper Kα. Structure: a structure optimized by DFT (PBE).

Cell and atoms:
```
data_CuAg5I8
_chemical_formula_sum 'Cu4 Ag20 I32'
_symmetry_space_group_name_H-M 'F -4 3 m'
_symmetry_Int_Tables_number 216
_symmetry_space_group_name_Hall 'F -4 2 3'
_cell_length_a 12.248
_cell_length_b 12.248
_cell_length_c 12.248
_cell_angle_alpha 90.00
_cell_angle_beta 90.00
_cell_angle_gamma 90.00
loop_
_atom_site_label
_atom_site_type_symbol
_atom_site_fract_x
_atom_site_fract_y
_atom_site_fract_z
_atom_site_occupancy
Cu1 Cu 0.000 0.000 0.000 1
Ag1 Ag 0.126 0.126 0.626 1
Ag2 Ag 0.250 0.250 0.250 1
I1 I 0.118 0.118 0.382 1
I2 I 0.125 0.125 0.875 1
```

Peak list (10 most intense, 10 to 80 degrees two-theta, in order of falling intensity)
hkl 4 4 0, d = 2.165 Å, 2θ = 41.72°, rel. 100
hkl 4 0 0, d = 3.062 Å, 2θ = 29.16°, rel. 82
hkl 3 1 1, d = 3.693 Å, 2θ = 24.10°, rel. 40
hkl 8 4 4, d = 1.250 Å, 2θ = 76.15°, rel. 32
hkl 2 2 2, d = 3.536 Å, 2θ = 25.19°, rel. 30
hkl 8 4 0, d = 1.369 Å, 2θ = 68.52°, rel. 26
hkl 4 4 4, d = 1.768 Å, 2θ = 51.71°, rel. 21
hkl 5 1 1, d = 2.357 Å, 2θ = 38.18°, rel. 20
hkl 8 0 0, d = 1.531 Å, 2θ = 60.47°, rel. 16
hkl 6 2 2, d = 1.846 Å, 2θ = 49.36°, rel. 14

No. 4
This entry pairs a crystal structure of TaCrRu with its simulated PXRD pattern. Radiation: copper Kα. Structure: a structure optimized by DFT (PBE).

Cell and atoms:
```
data_TaCrRu
_chemical_formula_sum 'Ta4 Cr4 Ru4'
_symmetry_space_group_name_H-M 'C 1 m 1'
_symmetry_Int_Tables_number 8
_cell_length_a 9.627
_cell_length_b 3.052
_cell_length_c 6.239
_cell_angle_alpha 90.00
_cell_angle_beta 106.38
_cell_angle_gamma 90.00
loop_
_symmetry_equiv_pos_as_xyz
'x,y,z'
'x,-y,z'
'x+1/2,y+1/2,z'
'x+1/2,-y+1/2,z'
loop_
_atom_site_label
_atom_site_type_symbol
_atom_site_fract_x
_atom_site_fract_y
_atom_site_fract_z
_atom_site_occupancy
Ta1 Ta 0.000 0.000 0.000 1
Ta2 Ta 0.174 0.500 0.368 1
Cr1 Cr 0.176 0.500 0.845 1
Cr2 Cr 0.325 0.000 0.690 1
Ru1 Ru 0.003 0.000 0.542 1
Ru2 Ru 0.329 0.000 0.169 1
```

Peak list (10 most intense, 10 to 80 degrees two-theta, in order of falling intensity)
hkl 1 1 -2, d = 2.181 Å, 2θ = 41.41°, rel. 100
hkl 3 1 0, d = 2.168 Å, 2θ = 41.67°, rel. 98
hkl 2 0 2, d = 2.240 Å, 2θ = 40.27°, rel. 51
hkl 4 0 -2, d = 2.144 Å, 2θ = 42.15°, rel. 46
hkl 1 1 -1, d = 2.704 Å, 2θ = 33.13°, rel. 17
hkl 0 2 0, d = 1.526 Å, 2θ = 60.69°, rel. 16
hkl 6 0 0, d = 1.539 Å, 2θ = 60.11°, rel. 16
hkl 2 2 2, d = 1.261 Å, 2θ = 75.37°, rel. 16
hkl 5 1 2, d = 1.276 Å, 2θ = 74.33°, rel. 15
hkl 4 2 -2, d = 1.243 Å, 2θ = 76.65°, rel. 15

No. 5
This entry pairs a crystal structure of Y5Pt3 with its simulated PXRD pattern. Radiation: copper Kα. Structure: a structure optimized by DFT (PBE).

Cell and atoms:
```
data_Y5Pt3
_chemical_formula_sum 'Y20 Pt12'
_symmetry_space_group_name_H-M 'P 4/n c c'
_symmetry_Int_Tables_number 130
_cell_length_a 11.061
_cell_length_b 11.061
_cell_length_c 6.505
_cell_angle_alpha 90.00
_cell_angle_beta 90.00
_cell_angle_gamma 90.00
loop_
_symmetry_equiv_pos_as_xyz
'x,y,z'
'-x,-y,-z'
'-y+1/2,x,z'
'y+1/2,-x,-z'
'-x+1/2,-y+1/2,z'
'x+1/2,y+1/2,-z'
'y,-x+1/2,z'
'-y,x+1/2,-z'
'x+1/2,-y,-z+1/2'
'-x+1/2,y,z+1/2'
'-y,-x,-z+1/2'
'y,x,z+1/2'
'-x,y+1/2,-z+1/2'
'x,-y+1/2,z+1/2'
'y+1/2,x+1/2,-z+1/2'
'-y+1/2,-x+1/2,z+1/2'
loop_
_atom_site_label
_atom_site_type_symbol
_atom_site_fract_x
_atom_site_fract_y
_atom_site_fract_z
_atom_site_occupancy
Y1 Y 0.043 0.161 0.122 1
Y2 Y 0.250 0.750 0.000 1
Pt1 Pt 0.096 0.596 0.750 1
Pt2 Pt 0.250 0.250 0.381 1
```

Peak list (10 most intense, 10 to 80 degrees two-theta, in order of falling intensity)
hkl 2 1 1, d = 3.937 Å, 2θ = 22.58°, rel. 100
hkl 4 2 0, d = 2.473 Å, 2θ = 36.32°, rel. 85
hkl 4 1 1, d = 2.480 Å, 2θ = 36.22°, rel. 84
hkl 2 1 2, d = 2.718 Å, 2θ = 32.96°, rel. 75
hkl 4 4 0, d = 1.958 Å, 2θ = 46.38°, rel. 54
hkl 3 1 2, d = 2.382 Å, 2θ = 37.77°, rel. 48
hkl 2 1 3, d = 1.986 Å, 2θ = 45.68°, rel. 47
hkl 3 2 1, d = 2.775 Å, 2θ = 32.26°, rel. 45
hkl 3 0 2, d = 2.439 Å, 2θ = 36.85°, rel. 35
hkl 3 1 1, d = 3.081 Å, 2θ = 28.98°, rel. 35

No. 6
This entry pairs a crystal structure of LiAsAu2O6 with its simulated PXRD pattern. Radiation: copper Kα. Structure: a structure optimized by DFT (PBE).

Cell and atoms:
```
data_LiAsAu2O6
_chemical_formula_sum 'Li4 As4 Au8 O24'
_symmetry_space_group_name_H-M 'C m c m'
_symmetry_Int_Tables_number 63
_symmetry_space_group_name_Hall '-C 2c 2'
_cell_length_a 11.294
_cell_length_b 8.762
_cell_length_c 6.245
_cell_angle_alpha 90.00
_cell_angle_beta 90.00
_cell_angle_gamma 90.00
loop_
_atom_site_label
_atom_site_type_symbol
_atom_site_fract_x
_atom_site_fract_y
_atom_site_fract_z
_atom_site_occupancy
Li1 Li 0.000 0.142 0.250 1
As1 As 0.000 0.339 0.750 1
Au1 Au 0.238 0.500 0.000 1
O1 O 0.000 0.258 0.511 1
O2 O 0.120 0.482 0.750 1
O3 O 0.149 0.015 0.250 1
```

Peak list (10 most intense, 10 to 80 degrees two-theta, in order of falling intensity)
hkl 2 2 0, d = 3.461 Å, 2θ = 25.74°, rel. 100
hkl 0 2 0, d = 4.381 Å, 2θ = 20.27°, rel. 61
hkl 2 0 0, d = 5.647 Å, 2θ = 15.69°, rel. 53
hkl 2 2 2, d = 2.318 Å, 2θ = 38.84°, rel. 51
hkl 2 0 2, d = 2.733 Å, 2θ = 32.77°, rel. 46
hkl 4 2 2, d = 1.889 Å, 2θ = 48.16°, rel. 32
hkl 4 4 2, d = 1.513 Å, 2θ = 61.25°, rel. 32
hkl 4 0 0, d = 2.824 Å, 2θ = 31.69°, rel. 26
hkl 0 2 2, d = 2.543 Å, 2θ = 35.30°, rel. 22
hkl 4 0 2, d = 2.094 Å, 2θ = 43.19°, rel. 19

No. 7
This entry pairs a crystal structure of NdHoAl with its simulated PXRD pattern. Radiation: copper Kα. Structure: a structure optimized by DFT (PBE).

Cell and atoms:
```
data_NdHoAl
_chemical_formula_sum 'Nd2 Ho2 Al2'
_symmetry_space_group_name_H-M 'P 4/n m m'
_symmetry_Int_Tables_number 129
_cell_length_a 4.764
_cell_length_b 4.764
_cell_length_c 7.683
_cell_angle_alpha 90.00
_cell_angle_beta 90.00
_cell_angle_gamma 90.00
loop_
_symmetry_equiv_pos_as_xyz
'x,y,z'
'-x,-y,-z'
'-y+1/2,x,z'
'y+1/2,-x,-z'
'-x+1/2,-y+1/2,z'
'x+1/2,y+1/2,-z'
'y,-x+1/2,z'
'-y,x+1/2,-z'
'x+1/2,-y,-z'
'-x+1/2,y,z'
'-y,-x,-z'
'y,x,z'
'-x,y+1/2,-z'
'x,-y+1/2,z'
'y+1/2,x+1/2,-z'
'-y+1/2,-x+1/2,z'
loop_
_atom_site_label
_atom_site_type_symbol
_atom_site_fract_x
_atom_site_fract_y
_atom_site_fract_z
_atom_site_occupancy
Nd1 Nd 0.250 0.250 0.211 1
Ho1 Ho 0.250 0.250 0.740 1
Al1 Al 0.250 0.750 0.500 1
```

Peak list (10 most intense, 10 to 80 degrees two-theta, in order of falling intensity)
hkl 1 1 2, d = 2.533 Å, 2θ = 35.44°, rel. 100
hkl 1 1 0, d = 3.368 Å, 2θ = 26.46°, rel. 84
hkl 0 0 2, d = 3.841 Å, 2θ = 23.15°, rel. 51
hkl 2 0 0, d = 2.382 Å, 2θ = 37.77°, rel. 47
hkl 2 0 2, d = 2.024 Å, 2θ = 44.77°, rel. 36
hkl 3 1 2, d = 1.402 Å, 2θ = 66.69°, rel. 32
hkl 2 2 0, d = 1.684 Å, 2θ = 54.48°, rel. 16
hkl 3 1 0, d = 1.506 Å, 2θ = 61.56°, rel. 16
hkl 2 2 2, d = 1.542 Å, 2θ = 59.97°, rel. 15
hkl 2 0 4, d = 1.495 Å, 2θ = 62.08°, rel. 14

No. 8
This entry pairs a crystal structure of In3Hg5Pb with its simulated PXRD pattern. Radiation: copper Kα. Structure: a structure optimized by DFT (PBE).

Cell and atoms:
```
data_In3Hg5Pb
_chemical_formula_sum 'In6 Hg10 Pb2'
_symmetry_space_group_name_H-M 'P -1'
_symmetry_Int_Tables_number 2
_cell_length_a 7.442
_cell_length_b 7.928
_cell_length_c 8.833
_cell_angle_alpha 91.95
_cell_angle_beta 102.79
_cell_angle_gamma 95.05
loop_
_symmetry_equiv_pos_as_xyz
'x,y,z'
'-x,-y,-z'
loop_
_atom_site_label
_atom_site_type_symbol
_atom_site_fract_x
_atom_site_fract_y
_atom_site_fract_z
_atom_site_occupancy
In1 In 0.062 0.119 0.166 1
In2 In 0.115 0.563 0.674 1
In3 In 0.316 0.817 0.149 1
Hg1 Hg 0.074 0.841 0.424 1
Hg2 Hg 0.257 0.232 0.884 1
Hg3 Hg 0.301 0.328 0.480 1
Hg4 Hg 0.381 0.876 0.816 1
Hg5 Hg 0.446 0.468 0.204 1
Pb1 Pb 0.000 0.500 0.000 1
Pb2 Pb 0.500 0.000 0.500 1
```

Peak list (10 most intense, 10 to 80 degrees two-theta, in order of falling intensity)
hkl 2 1 1, d = 2.781 Å, 2θ = 32.19°, rel. 100
hkl 2 1 -2, d = 2.868 Å, 2θ = 31.18°, rel. 90
hkl 2 -2 0, d = 2.803 Å, 2θ = 31.92°, rel. 63
hkl 0 3 1, d = 2.477 Å, 2θ = 36.27°, rel. 50
hkl 0 1 -3, d = 2.743 Å, 2θ = 32.64°, rel. 28
hkl 1 2 -2, d = 2.846 Å, 2θ = 31.43°, rel. 27
hkl -3 1 2, d = 2.282 Å, 2θ = 39.50°, rel. 26
hkl 1 1 -2, d = 3.653 Å, 2θ = 24.36°, rel. 25
hkl -1 2 3, d = 2.317 Å, 2θ = 38.87°, rel. 24
hkl 1 -2 0, d = 3.612 Å, 2θ = 24.64°, rel. 23

No. 9
This entry pairs a crystal structure of Cs6K3Rb with its simulated PXRD pattern. Radiation: copper Kα. Structure: a structure optimized by DFT (PBE).

Cell and atoms:
```
data_Cs6K3Rb
_chemical_formula_sum 'Cs12 K6 Rb2'
_symmetry_space_group_name_H-M 'P 1 21/c 1'
_symmetry_Int_Tables_number 14
_cell_length_a 8.235
_cell_length_b 14.170
_cell_length_c 19.154
_cell_angle_alpha 90.00
_cell_angle_beta 115.35
_cell_angle_gamma 90.00
loop_
_symmetry_equiv_pos_as_xyz
'x,y,z'
'-x,-y,-z'
'-x,y+1/2,-z+1/2'
'x,-y+1/2,z+1/2'
loop_
_atom_site_label
_atom_site_type_symbol
_atom_site_fract_x
_atom_site_fract_y
_atom_site_fract_z
_atom_site_occupancy
Cs1 Cs 0.090 0.159 0.090 1
Cs2 Cs 0.255 0.673 0.755 1
Cs3 Cs 0.408 0.169 0.408 1
K1 K 0.253 0.008 0.754 1
K2 K 0.500 0.000 0.000 1
Rb1 Rb 0.000 0.000 0.500 1
```

Peak list (10 most intense, 10 to 80 degrees two-theta, in order of falling intensity)
hkl 0 2 3, d = 4.480 Å, 2θ = 19.82°, rel. 100
hkl 1 3 -1, d = 4.097 Å, 2θ = 21.69°, rel. 59
hkl 2 0 -2, d = 4.118 Å, 2θ = 21.58°, rel. 30
hkl 1 5 2, d = 2.432 Å, 2θ = 36.95°, rel. 26
hkl 2 2 1, d = 3.030 Å, 2θ = 29.48°, rel. 25
hkl 2 0 -8, d = 2.359 Å, 2θ = 38.15°, rel. 17
hkl 3 3 -3, d = 2.373 Å, 2θ = 37.91°, rel. 14
hkl 3 1 0, d = 2.442 Å, 2θ = 36.81°, rel. 13
hkl 0 4 3, d = 3.019 Å, 2θ = 29.59°, rel. 12
hkl 0 2 6, d = 2.673 Å, 2θ = 33.52°, rel. 11

What did the eighth record say?
This entry pairs a crystal structure of In3Hg5Pb with its simulated PXRD pattern. Radiation: copper Kα. Structure: a structure optimized by DFT (PBE).

Cell and atoms:
```
data_In3Hg5Pb
_chemical_formula_sum 'In6 Hg10 Pb2'
_symmetry_space_group_name_H-M 'P -1'
_symmetry_Int_Tables_number 2
_cell_length_a 7.442
_cell_length_b 7.928
_cell_length_c 8.833
_cell_angle_alpha 91.95
_cell_angle_beta 102.79
_cell_angle_gamma 95.05
loop_
_symmetry_equiv_pos_as_xyz
'x,y,z'
'-x,-y,-z'
loop_
_atom_site_label
_atom_site_type_symbol
_atom_site_fract_x
_atom_site_fract_y
_atom_site_fract_z
_atom_site_occupancy
In1 In 0.062 0.119 0.166 1
In2 In 0.115 0.563 0.674 1
In3 In 0.316 0.817 0.149 1
Hg1 Hg 0.074 0.841 0.424 1
Hg2 Hg 0.257 0.232 0.884 1
Hg3 Hg 0.301 0.328 0.480 1
Hg4 Hg 0.381 0.876 0.816 1
Hg5 Hg 0.446 0.468 0.204 1
Pb1 Pb 0.000 0.500 0.000 1
Pb2 Pb 0.500 0.000 0.500 1
```

Peak list (10 most intense, 10 to 80 degrees two-theta, in order of falling intensity)
hkl 2 1 1, d = 2.781 Å, 2θ = 32.19°, rel. 100
hkl 2 1 -2, d = 2.868 Å, 2θ = 31.18°, rel. 90
hkl 2 -2 0, d = 2.803 Å, 2θ = 31.92°, rel. 63
hkl 0 3 1, d = 2.477 Å, 2θ = 36.27°, rel. 50
hkl 0 1 -3, d = 2.743 Å, 2θ = 32.64°, rel. 28
hkl 1 2 -2, d = 2.846 Å, 2θ = 31.43°, rel. 27
hkl -3 1 2, d = 2.282 Å, 2θ = 39.50°, rel. 26
hkl 1 1 -2, d = 3.653 Å, 2θ = 24.36°, rel. 25
hkl -1 2 3, d = 2.317 Å, 2θ = 38.87°, rel. 24
hkl 1 -2 0, d = 3.612 Å, 2θ = 24.64°, rel. 23